Entry 1:
Computed X-ray powder pattern of VAu2 for CuKα, from a DFT-relaxed cell (GGA-PBE, Alexandria).
No peak broadening, texture or thermal motion is included.

Cell and atoms:
Cell: 8.699 4.828 4.802 Å, 90.00 90.00 90.00°
Space group Cmcm (No. 63)
Asymmetric unit:
V (0.000, 0.218, 0.250) [4 per cell]
Au (0.161, 0.279, 0.750) [8 per cell]

Most intense lines, 10 to 80 degrees two-theta, low angle first:
2θ 20.42, intensity 112, hkl 2 0 0
2θ 28.14, intensity 337, hkl 1 1 1
2θ 37.25, intensity 294, hkl 0 2 0
2θ 37.45, intensity 332, hkl 0 0 2
2θ 40.88, intensity 1000, hkl 3 1 1
2θ 41.88, intensity 63, hkl 0 2 1
2θ 53.85, intensity 203, hkl 0 2 2
2θ 64.25, intensity 66, hkl 6 0 0
2θ 69.62, intensity 157, hkl 3 3 1
2θ 69.89, intensity 206, hkl 3 1 3
2θ 76.67, intensity 70, hkl 6 2 0
2θ 76.80, intensity 80, hkl 6 0 2

Entry 2:
Computed X-ray powder pattern of SrMg14Nb for CuKα, from a DFT-relaxed cell (GGA-PBE, Alexandria).
No peak broadening, texture or thermal motion is included.

Cell and atoms:
Cell: 6.5312 6.5312 10.3387 Å, 90.00 90.00 120.00°
Space group P-6m2 (No. 187)
Asymmetric unit:
Sr (0.0000, 0.0000, 0.0000) [1 per cell]
Mg (0.0149, 0.5075, 0.0000) [3 per cell]
Mg (0.1651, 0.3301, 0.2685) [6 per cell]
Mg (0.5034, 0.0068, 0.5000) [3 per cell]
Mg (0.6667, 0.3333, 0.2375) [2 per cell]
Nb (0.0000, 0.0000, 0.5000) [1 per cell]

Most intense lines, 10 to 80 degrees two-theta, low angle first:
2θ 15.67, intensity 319, hkl 1 0 0
2θ 17.15, intensity 91, hkl 0 0 2
2θ 23.31, intensity 242, hkl 1 0 2
2θ 31.64, intensity 283, hkl 2 0 0
2θ 32.43, intensity 106, hkl 1 1 2
2θ 34.71, intensity 233, hkl 0 0 4
2θ 36.21, intensity 1000, hkl 2 0 2
2θ 47.67, intensity 173, hkl 2 0 4
2θ 56.35, intensity 176, hkl 2 2 0
2θ 63.19, intensity 164, hkl 2 0 6
2θ 67.90, intensity 182, hkl 2 2 4
2θ 68.83, intensity 140, hkl 4 0 2

Entry 3:
Computed X-ray powder pattern of DyErHf2N4 for CuKα, from a DFT-relaxed cell (GGA-PBE, Alexandria).
No peak broadening, texture or thermal motion is included.

Cell and atoms:
Cell: 4.699 4.699 9.342 Å, 90.00 90.00 90.00°
Space group I-4m2 (No. 119)
Asymmetric unit:
Dy (0.000, 0.000, 0.000) [2 per cell]
Er (0.000, 0.500, 0.250) [2 per cell]
Hf (0.000, 0.000, 0.500) [2 per cell]
Hf (0.000, 0.500, 0.750) [2 per cell]
N (0.000, 0.000, 0.260) [4 per cell]
N (0.000, 0.500, 0.508) [4 per cell]

Most intense lines, 10 to 80 degrees two-theta, low angle first:
2θ 33.08, intensity 1000, hkl 1 1 2
2θ 38.31, intensity 464, hkl 2 0 0
2θ 38.55, intensity 227, hkl 0 0 4
2θ 55.29, intensity 158, hkl 2 2 0
2θ 55.47, intensity 311, hkl 2 0 4
2θ 65.96, intensity 291, hkl 3 1 2
2θ 66.29, intensity 144, hkl 1 1 6
2θ 69.42, intensity 157, hkl 2 2 4

Entry 4:
Computed X-ray powder pattern of Er3ScIn2 for CuKα, from a DFT-relaxed cell (GGA-PBE, Alexandria).
No peak broadening, texture or thermal motion is included.

Cell and atoms:
Cell: 4.805 15.067 4.391 Å, 90.00 90.00 90.00°
Space group Cmmm (No. 65)
Asymmetric unit:
Er (0.000, 0.000, 0.000) [2 per cell]
Er (0.000, 0.330, 0.000) [4 per cell]
Sc (0.000, 0.500, 0.500) [2 per cell]
In (0.000, 0.153, 0.500) [4 per cell]

Most intense lines, 10 to 80 degrees two-theta, low angle first:
2θ 25.66, intensity 79, hkl 1 3 0
2θ 32.89, intensity 1000, hkl 1 3 1
2θ 35.76, intensity 186, hkl 0 6 0
2θ 37.43, intensity 180, hkl 2 0 0
2θ 41.12, intensity 138, hkl 0 0 2
2θ 52.73, intensity 121, hkl 2 6 0
2θ 55.61, intensity 103, hkl 0 6 2
2θ 56.81, intensity 106, hkl 2 0 2
2θ 62.43, intensity 132, hkl 1 9 1
2θ 64.66, intensity 139, hkl 3 3 1
2θ 68.96, intensity 107, hkl 2 6 2
2θ 69.73, intensity 111, hkl 1 3 3

Entry 5:
Computed X-ray powder pattern of CaAsH5O6 for CuKα, from a DFT-relaxed cell (GGA-PBE, Alexandria).
No peak broadening, texture or thermal motion is included.

Cell and atoms:
Cell: 6.359 17.235 6.017 Å, 90.00 115.44 90.00°
Space group Cc (No. 9)
Asymmetric unit:
Ca (0.000, 0.155, 0.000) [4 per cell]
As (0.205, 0.312, 0.834) [4 per cell]
H (0.019, 0.322, 0.427) [4 per cell]
H (0.066, 0.107, 0.511) [4 per cell]
H (0.229, 0.003, 0.458) [4 per cell]
H (0.294, 0.140, 0.493) [4 per cell]
H (0.402, 0.069, 0.006) [4 per cell]
O (0.131, 0.364, 0.547) [4 per cell]
O (0.169, 0.101, 0.421) [4 per cell]
O (0.244, 0.054, 0.982) [4 per cell]
O (0.341, 0.375, 0.069) [4 per cell]
O (0.377, 0.244, 0.784) [4 per cell]
O (0.447, 0.221, 0.323) [4 per cell]

Most intense lines, 10 to 80 degrees two-theta, low angle first:
2θ 10.26, intensity 1000, hkl 0 2 0
2θ 17.74, intensity 297, hkl 1 1 -1
2θ 19.31, intensity 194, hkl 0 2 1
2θ 21.88, intensity 382, hkl 1 3 0
2θ 26.40, intensity 163, hkl 0 4 1
2θ 27.51, intensity 212, hkl 1 1 1
2θ 30.12, intensity 289, hkl 2 2 -1
2θ 30.24, intensity 117, hkl 1 5 0
2θ 33.66, intensity 145, hkl 1 3 -2
2θ 35.22, intensity 162, hkl 2 4 -1
2θ 39.80, intensity 125, hkl 1 5 -2
2θ 45.97, intensity 103, hkl 1 7 1

Entry 6:
Computed X-ray powder pattern of Ce3ScPb5 for CuKα, from a DFT-relaxed cell (GGA-PBE, Alexandria).
No peak broadening, texture or thermal motion is included.

Cell and atoms:
Cell: 9.5379 9.5379 6.5195 Å, 90.00 90.00 120.00°
Space group P6_3/mcm (No. 193)
Asymmetric unit:
Ce (0.0000, 0.3850, 0.2500) [6 per cell]
Sc (0.0000, 0.0000, 0.0000) [2 per cell]
Pb (0.0000, 0.2721, 0.7500) [6 per cell]
Pb (0.3333, 0.6667, 0.0000) [4 per cell]

Most intense lines, 10 to 80 degrees two-theta, low angle first:
2θ 28.59, intensity 175, hkl 2 1 0
2θ 31.78, intensity 684, hkl 2 1 1
2θ 32.52, intensity 826, hkl 3 0 0
2θ 33.29, intensity 1000, hkl 1 1 2
2θ 41.79, intensity 148, hkl 3 1 1
2θ 47.23, intensity 283, hkl 2 2 2
2θ 50.13, intensity 156, hkl 3 2 1
2θ 51.22, intensity 183, hkl 2 1 3
2θ 58.52, intensity 208, hkl 4 1 2
2θ 64.43, intensity 181, hkl 5 1 1
2θ 66.69, intensity 213, hkl 3 0 4
2θ 77.97, intensity 146, hkl 5 1 3

Entry 7:
Computed X-ray powder pattern of La3GaFeS7 for CuKα, from a DFT-relaxed cell (GGA-PBE, Alexandria).
No peak broadening, texture or thermal motion is included.

Cell and atoms:
Cell: 9.9535 9.9535 6.3080 Å, 90.00 90.00 120.00°
Space group P6_3 (No. 173)
Asymmetric unit:
La (0.1585, 0.3733, 0.0000) [6 per cell]
Ga (0.3333, 0.6667, 0.4241) [2 per cell]
Fe (0.0000, 0.0000, 0.3535) [2 per cell]
S (0.0884, 0.2050, 0.6036) [6 per cell]
S (0.0894, 0.5650, 0.2824) [6 per cell]
S (0.3333, 0.6667, 0.7833) [2 per cell]

Most intense lines, 10 to 80 degrees two-theta, low angle first:
2θ 17.42, intensity 176, hkl 1 0 1
2θ 25.02, intensity 1000, hkl 2 0 1
2θ 27.37, intensity 146, hkl 1 2 0
2θ 34.29, intensity 270, hkl 3 0 1
2θ 35.26, intensity 276, hkl 2 0 2
2θ 36.10, intensity 362, hkl 2 2 0
2θ 39.78, intensity 203, hkl 1 2 2
2θ 40.34, intensity 135, hkl 3 1 1
2θ 44.41, intensity 233, hkl 4 0 1
2θ 46.48, intensity 157, hkl 2 2 2
2θ 48.17, intensity 290, hkl 2 0 3
2θ 58.50, intensity 148, hkl 0 0 4

Entry 8:
Computed X-ray powder pattern of TaTe2N for CuKα, from a DFT-relaxed cell (GGA-PBE, Alexandria).
No peak broadening, texture or thermal motion is included.

Cell and atoms:
Cell: 3.7619 3.7619 22.4323 Å, 90.00 90.00 120.00°
Space group R-3m (No. 166, hexagonal axes)
Asymmetric unit:
Ta (0.0000, 0.0000, 0.0000) [3 per cell]
Te (0.0000, 0.0000, 0.4126) [6 per cell]
N (0.0000, 0.0000, 0.5000) [3 per cell]

Most intense lines, 10 to 80 degrees two-theta, low angle first:
2θ 11.84, intensity 849, hkl 0 0 3
2θ 28.53, intensity 958, hkl 0 1 2
2θ 34.01, intensity 1000, hkl 0 1 5
2θ 39.44, intensity 543, hkl 1 0 7
2θ 48.39, intensity 460, hkl 1 1 0
2θ 48.71, intensity 143, hkl 0 0 12
2θ 49.32, intensity 301, hkl 1 0 10
2θ 50.00, intensity 152, hkl 1 1 3
2θ 57.14, intensity 134, hkl 2 0 2
2θ 60.46, intensity 193, hkl 2 0 5
2θ 71.10, intensity 272, hkl 1 1 12
2θ 78.11, intensity 207, hkl 0 1 17

Entry 9:
Computed X-ray powder pattern of Sc6Cu5 for CuKα, from a DFT-relaxed cell (GGA-PBE, Alexandria).
No peak broadening, texture or thermal motion is included.

Cell and atoms:
Cell: 4.556 6.500 13.709 Å, 90.00 90.00 90.00°
Space group Immm (No. 71)
Asymmetric unit:
Sc (0.000, 0.247, 0.162) [8 per cell]
Sc (0.000, 0.252, 0.500) [4 per cell]
Cu (0.000, 0.000, 0.329) [4 per cell]
Cu (0.000, 0.500, 0.000) [2 per cell]
Cu (0.000, 0.500, 0.323) [4 per cell]

Most intense lines, 10 to 80 degrees two-theta, low angle first:
2θ 12.92, intensity 56, hkl 0 0 2
2θ 15.09, intensity 60, hkl 0 1 1
2θ 23.83, intensity 38, hkl 0 1 3
2θ 35.57, intensity 28, hkl 1 1 4
2θ 38.31, intensity 24, hkl 1 0 5
2θ 39.37, intensity 1000, hkl 1 2 3
2θ 39.56, intensity 201, hkl 2 0 0
2θ 56.64, intensity 64, hkl 0 4 0
2θ 57.09, intensity 120, hkl 2 0 6
2θ 71.25, intensity 118, hkl 2 4 0
2θ 71.46, intensity 107, hkl 1 2 9
2θ 71.63, intensity 118, hkl 3 2 3

Entry 10:
Computed X-ray powder pattern of BaLiCl for CuKα, from a DFT-relaxed cell (GGA-PBE, Alexandria).
No peak broadening, texture or thermal motion is included.

Cell and atoms:
Cell: 4.457 4.457 9.157 Å, 90.00 90.00 90.00°
Space group P4/nmm (No. 129, origin choice 2)
Asymmetric unit:
Ba (0.250, 0.250, 0.215) [2 per cell]
Li (0.250, 0.250, 0.570) [2 per cell]
Cl (0.250, 0.250, 0.856) [2 per cell]

Most intense lines, 10 to 80 degrees two-theta, low angle first:
2θ 19.39, intensity 582, hkl 0 0 2
2θ 22.18, intensity 1000, hkl 1 0 1
2θ 28.32, intensity 897, hkl 1 1 0
2θ 29.26, intensity 184, hkl 0 0 3
2θ 34.55, intensity 540, hkl 1 1 2
2θ 35.65, intensity 486, hkl 1 0 3
2θ 40.48, intensity 330, hkl 2 0 0
2θ 41.17, intensity 279, hkl 1 1 3
2θ 45.26, intensity 249, hkl 2 0 2
2θ 46.64, intensity 296, hkl 2 1 1
2θ 55.02, intensity 270, hkl 2 1 3
2θ 69.79, intensity 203, hkl 3 1 2

Entry 11:
Computed X-ray powder pattern of Li6CeAu12 for CuKα, from a DFT-relaxed cell (GGA-PBE, Alexandria).
No peak broadening, texture or thermal motion is included.

Cell and atoms:
Cell: 11.9324 11.9324 8.5521 Å, 90.00 90.00 120.00°
Space group R-3m (No. 166, hexagonal axes)
Asymmetric unit:
Li (0.0549, 0.5275, 0.2441) [18 per cell]
Ce (0.0000, 0.0000, 0.0000) [3 per cell]
Au (0.0000, 0.3803, 0.5000) [18 per cell]
Au (0.0825, 0.1650, 0.2915) [18 per cell]

Most intense lines, 10 to 80 degrees two-theta, low angle first:
2θ 22.50, intensity 446, hkl 0 1 2
2θ 25.87, intensity 193, hkl 3 0 0
2θ 27.07, intensity 124, hkl 2 0 2
2θ 32.96, intensity 1000, hkl 1 3 1
2θ 34.88, intensity 423, hkl 1 1 3
2θ 39.44, intensity 183, hkl 3 2 1
2θ 39.98, intensity 122, hkl 4 1 0
2θ 41.10, intensity 392, hkl 0 3 3
2θ 43.66, intensity 141, hkl 2 3 2
2θ 47.77, intensity 144, hkl 2 4 1
2θ 48.95, intensity 345, hkl 5 0 2
2θ 64.00, intensity 127, hkl 3 5 1

Entry 12:
Computed X-ray powder pattern of Ac2ScPbS6 for CuKα, from a DFT-relaxed cell (GGA-PBE, Alexandria).
No peak broadening, texture or thermal motion is included.

Cell and atoms:
Cell: 6.893 7.550 12.070 Å, 90.00 124.58 90.00°
Space group P2_1/c (No. 14)
Asymmetric unit:
Ac (0.214, 0.095, 0.249) [4 per cell]
Sc (0.500, 0.000, 0.000) [2 per cell]
Pb (0.000, 0.000, 0.500) [2 per cell]
S (0.134, 0.177, 0.941) [4 per cell]
S (0.268, 0.699, 0.936) [4 per cell]
S (0.393, 0.042, 0.761) [4 per cell]

Most intense lines, 10 to 80 degrees two-theta, low angle first:
2θ 15.62, intensity 147, hkl 1 0 0
2θ 19.59, intensity 327, hkl 1 1 0
2θ 25.04, intensity 1000, hkl 1 1 1
2θ 25.24, intensity 188, hkl 0 2 1
2θ 25.85, intensity 239, hkl 2 0 -2
2θ 29.91, intensity 211, hkl 2 1 -3
2θ 32.24, intensity 163, hkl 1 1 -4
2θ 35.26, intensity 142, hkl 2 2 -2
2θ 36.12, intensity 331, hkl 0 0 4
2θ 36.44, intensity 202, hkl 2 2 -1
2θ 39.17, intensity 225, hkl 1 3 0
2θ 45.04, intensity 261, hkl 2 0 -6

Entry 13:
Computed X-ray powder pattern of Rb2SnHgO4 for CuKα, from a DFT-relaxed cell (GGA-PBE, Alexandria).
No peak broadening, texture or thermal motion is included.

Cell and atoms:
Cell: 8.640 8.059 6.265 Å, 90.00 131.46 90.00°
Space group C2 (No. 5)
Asymmetric unit:
Rb (0.000, 0.000, 0.000) [2 per cell]
Rb (0.000, 0.234, 0.500) [2 per cell]
Sn (0.000, 0.710, 0.500) [2 per cell]
Hg (0.000, 0.513, 0.000) [2 per cell]
O (0.149, 0.553, 0.433) [4 per cell]
O (0.215, 0.817, 0.870) [4 per cell]

Most intense lines, 10 to 80 degrees two-theta, low angle first:
2θ 17.57, intensity 357, hkl 1 1 0
2θ 27.55, intensity 492, hkl 2 0 0
2θ 28.60, intensity 443, hkl 2 0 -2
2θ 29.21, intensity 812, hkl 0 2 1
2θ 30.34, intensity 1000, hkl 2 2 -1
2θ 38.34, intensity 266, hkl 0 0 2
2θ 41.85, intensity 208, hkl 4 0 -2
2θ 49.01, intensity 230, hkl 2 2 1
2θ 50.30, intensity 223, hkl 2 2 -3
2θ 51.22, intensity 195, hkl 4 2 -1
2θ 52.47, intensity 181, hkl 4 2 -3
2θ 53.58, intensity 145, hkl 2 4 0